# 1
Theoretical powder diffractogram of Ba8CdPt2 for copper Kα, from DFT lattice parameters and positions (GGA-PBE).
Lines closer than 0.1° are merged.

Top 8 peaks for 2θ from 10° to 80°, by angle:
16.64 deg, I 60; 16.94 deg, I 58; 19.58 deg, I 61; 23.83 deg, I 76; 27.08 deg, I 45; 33.64 deg, I 61; 34.26 deg, I 100; 44.20 deg, I 71

Structure:
abc: 10.4701 10.4701 6.5866
angles: 90.00 90.00 120.00
Element x y z (fractional)
Ba1 0.1670 0.3361 0.2440
Ba2 0.1691 0.8330 0.2440
Ba3 0.3333 0.6667 0.7447
Ba4 0.3361 0.1691 0.7560
Ba5 0.6639 0.8309 0.2440
Ba6 0.6667 0.3333 0.2553
Ba7 0.8309 0.1670 0.7560
Ba8 0.8330 0.6639 0.7560
Cd1 0.0000 0.0000 0.5000
Pt1 0.3333 0.6667 0.2468
Pt2 0.6667 0.3333 0.7532


# 2
Theoretical powder diffractogram of CrCu2Si for copper Kα, from DFT lattice parameters and positions (GGA-PBE).
Lines closer than 0.1° are merged.

Top 8 peaks for 2θ from 10° to 80°, by angle:
22.98 deg, I 8; 25.04 deg, I 3; 35.71 deg, I 6; 42.89 deg, I 100; 46.95 deg, I 19; 51.39 deg, I 28; 72.14 deg, I 19; 75.64 deg, I 8

Structure:
abc: 3.5561 3.5561 3.8705
angles: 90.00 90.00 90.00
Element x y z (fractional)
Cr1 0.0000 0.0000 0.0000
Cu1 0.0000 0.5000 0.5000
Cu2 0.5000 0.0000 0.5000
Si1 0.5000 0.5000 0.0000


# 3
Theoretical powder diffractogram of Cs3Tl3NiBr8 for copper Kα, from DFT lattice parameters and positions (GGA-PBE).
Lines closer than 0.1° are merged.

Top 8 peaks for 2θ from 10° to 80°, by angle:
10.98 deg, I 32; 22.06 deg, I 17; 25.88 deg, I 100; 36.15 deg, I 32; 37.69 deg, I 32; 43.43 deg, I 12; 45.00 deg, I 14; 59.03 deg, I 12

Structure:
abc: 9.5618 9.5618 9.5618
angles: 62.62 62.62 62.62
Element x y z (fractional)
Cs1 0.0000 0.5000 0.5000
Cs2 0.5000 0.0000 0.5000
Cs3 0.5000 0.5000 0.0000
Tl1 0.0000 0.0000 0.5000
Tl2 0.0000 0.5000 0.0000
Tl3 0.5000 0.0000 0.0000
Ni1 0.0000 0.0000 0.0000
Br1 0.1800 0.8084 0.8084
Br2 0.1916 0.1916 0.8200
Br3 0.1916 0.8200 0.1916
Br4 0.2420 0.2420 0.2420
Br5 0.7580 0.7580 0.7580
Br6 0.8084 0.1800 0.8084
Br7 0.8084 0.8084 0.1800
Br8 0.8200 0.1916 0.1916


# 4
Theoretical powder diffractogram of Tb3Tm2Hg7 for copper Kα, from DFT lattice parameters and positions (GGA-PBE).
Lines closer than 0.1° are merged.

Top 8 peaks for 2θ from 10° to 80°, by angle:
16.29 deg, I 10; 30.92 deg, I 27; 32.93 deg, I 43; 34.85 deg, I 37; 36.57 deg, I 100; 48.70 deg, I 29; 61.20 deg, I 23; 63.62 deg, I 20

Structure:
abc: 11.6950 11.6950 5.4401
angles: 90.00 90.00 154.57
Element x y z (fractional)
Tb1 0.0000 0.0000 0.0000
Tb2 0.1670 0.8330 0.0000
Tb3 0.8330 0.1670 0.0000
Tm1 0.3563 0.6437 0.5000
Tm2 0.6437 0.3563 0.5000
Hg1 0.0760 0.9240 0.5000
Hg2 0.2226 0.7774 0.5000
Hg3 0.4142 0.5858 0.0000
Hg4 0.5000 0.5000 0.5000
Hg5 0.5858 0.4142 0.0000
Hg6 0.7774 0.2226 0.5000
Hg7 0.9240 0.0760 0.5000


# 5
Theoretical powder diffractogram of KB2Os for copper Kα, from DFT lattice parameters and positions (GGA-PBE).
Lines closer than 0.1° are merged.

Top 8 peaks for 2θ from 10° to 80°, by angle:
16.96 deg, I 52; 27.87 deg, I 100; 32.81 deg, I 22; 39.82 deg, I 17; 43.57 deg, I 15; 49.31 deg, I 41; 65.16 deg, I 18; 79.16 deg, I 20

Structure:
abc: 6.4024 6.4024 6.4024
angles: 60.00 60.00 60.00
Element x y z (fractional)
K1 0.1250 0.1250 0.1250
K2 0.8750 0.8750 0.8750
B1 0.0000 0.5000 0.5000
B2 0.5000 0.0000 0.5000
B3 0.5000 0.5000 0.0000
B4 0.5000 0.5000 0.5000
Os1 0.3750 0.3750 0.3750
Os2 0.6250 0.6250 0.6250


# 6
Theoretical powder diffractogram of Ca17Ac2 for copper Kα, from DFT lattice parameters and positions (GGA-PBE).
Lines closer than 0.1° are merged.

Top 8 peaks for 2θ from 10° to 80°, by angle:
12.37 deg, I 30; 14.25 deg, I 21; 19.94 deg, I 45; 24.82 deg, I 40; 28.56 deg, I 100; 28.73 deg, I 40; 40.96 deg, I 23; 50.87 deg, I 24

Structure:
abc: 9.6044 9.6044 9.6044
angles: 80.63 80.63 80.63
Element x y z (fractional)
Ca1 0.0000 0.0000 0.5000
Ca2 0.0000 0.3088 0.6912
Ca3 0.0000 0.5000 0.0000
Ca4 0.0000 0.6912 0.3088
Ca5 0.0952 0.0952 0.0952
Ca6 0.1554 0.6495 0.6495
Ca7 0.3088 0.0000 0.6912
Ca8 0.3088 0.6912 0.0000
Ca9 0.3505 0.3505 0.8446
Ca10 0.3505 0.8446 0.3505
Ca11 0.5000 0.0000 0.0000
Ca12 0.6495 0.1554 0.6495
Ca13 0.6495 0.6495 0.1554
Ca14 0.6912 0.0000 0.3088
Ca15 0.6912 0.3088 0.0000
Ca16 0.8446 0.3505 0.3505
Ca17 0.9048 0.9048 0.9048
Ac1 0.3129 0.3129 0.3129
Ac2 0.6871 0.6871 0.6871


Copy entry 1 word for word.
Theoretical powder diffractogram of Ba8CdPt2 for copper Kα, from DFT lattice parameters and positions (GGA-PBE).
Lines closer than 0.1° are merged.

Top 8 peaks for 2θ from 10° to 80°, by angle:
16.64 deg, I 60; 16.94 deg, I 58; 19.58 deg, I 61; 23.83 deg, I 76; 27.08 deg, I 45; 33.64 deg, I 61; 34.26 deg, I 100; 44.20 deg, I 71

Structure:
abc: 10.4701 10.4701 6.5866
angles: 90.00 90.00 120.00
Element x y z (fractional)
Ba1 0.1670 0.3361 0.2440
Ba2 0.1691 0.8330 0.2440
Ba3 0.3333 0.6667 0.7447
Ba4 0.3361 0.1691 0.7560
Ba5 0.6639 0.8309 0.2440
Ba6 0.6667 0.3333 0.2553
Ba7 0.8309 0.1670 0.7560
Ba8 0.8330 0.6639 0.7560
Cd1 0.0000 0.0000 0.5000
Pt1 0.3333 0.6667 0.2468
Pt2 0.6667 0.3333 0.7532